Computed powder X-ray diffraction pattern of HoAlPtAu for λ = 1.5418 Å (Cu Kα), from the PBE geometry in OQMD.

Atomic structure:
```
data_HoAlPtAu
_symmetry_space_group_name_H-M 'P -6 m 2'
_symmetry_Int_Tables_number 187
_symmetry_space_group_name_Hall 'P -6 2'
_cell_length_a 4.4264
_cell_length_b 4.4264
_cell_length_c 9.1539
_cell_angle_alpha 90.00
_cell_angle_beta 90.00
_cell_angle_gamma 120.00
loop_
_atom_site_label
_atom_site_type_symbol
_atom_site_fract_x
_atom_site_fract_y
_atom_site_fract_z
_atom_site_occupancy
Ho1 Ho 0.0000 0.0000 0.0000 1
Ho2 Ho 0.3333 0.6667 0.5000 1
Al1 Al 0.6667 0.3333 0.2740 1
Pt1 Pt 0.0000 0.0000 0.3286 1
Au1 Au 0.3333 0.6667 0.1637 1
```

Main lines, low angle first (2θ = 10–80°):
(1 0 0), 2θ = 23.20°, 3.833 Å, intensity 46.3; (1 0 3), 2θ = 37.68°, 2.387 Å, intensity 100.0; (1 1 0), 2θ = 40.77°, 2.213 Å, intensity 59.2; (2 0 0), 2θ = 47.43°, 1.917 Å, intensity 7.2; (2 0 3), 2θ = 56.72°, 1.623 Å, intensity 31.0; (2 1 0), 2θ = 64.29°, 1.449 Å, intensity 5.8; (1 0 6), 2θ = 65.89°, 1.418 Å, intensity 7.3; (2 1 3), 2θ = 72.17°, 1.309 Å, intensity 30.6; (3 0 0), 2θ = 74.22°, 1.278 Å, intensity 10.4; (1 1 6), 2θ = 75.72°, 1.256 Å, intensity 16.6